The following is a theoretical powder X-ray diffraction pattern of LiTi2P3O12. It was derived from a PBE-relaxed structure, using λ = 1.5418 Å (Cu Kα).

The 12 most intense peaks (10° ≤ 2θ ≤ 90°), low angle first:
2θ (°)	d_spacing	I/Imax
14.44	6.133	37.7
20.51	4.330	83.9
24.04	3.702	100.0
24.13	3.689	50.8
29.08	3.071	38.2
29.25	3.054	15.2
31.85	2.810	18.7
32.66	2.741	18.6
35.76	2.511	15.1
35.95	2.498	16.9
46.83	1.940	18.5
56.21	1.636	19.1

Structural model:
```
36
Lattice="7.4838 -4.3591 0.0000 7.4838 4.3591 0.0000 -5.0024 0.0000 7.0626" Properties=species:S:1:pos:R:3 pbc="T T T"
Li 2.7363 0.0000 1.3371
Li 7.2288 0.0000 5.7255
Ti 4.9914 2.7285 1.1784
Ti 4.9737 2.7285 5.8841
Ti 2.5039 -1.6142 4.6648
Ti 7.4613 -1.6142 2.3978
P 2.8178 1.5189 3.5160
P 5.3758 -0.3567 0.0053
P 7.1474 1.5189 3.5466
P 4.5893 -0.3567 7.0573
P 4.9826 -3.5195 3.5313
P 7.4838 -4.0648 0.0000
O 1.4331 2.1767 3.5567
O -2.3945 -0.0572 4.7804
O 3.5327 1.8019 2.1599
O 1.2775 -0.5924 0.0173
O 5.2265 1.1841 0.0507
O 3.6253 2.0052 4.7210
O 6.3399 2.0052 2.3416
O 2.6584 -0.0269 3.4743
O 3.9245 -0.9362 0.0385
O 1.1331 -0.7585 5.8058
O 6.4324 1.8019 4.9027
O 8.5321 2.1767 3.5059
O 4.7386 1.1841 7.0118
O 6.0704 -0.8688 1.2835
O 3.8947 -0.8688 5.7791
O 7.3067 -0.0269 3.5883
O 3.7357 -2.6106 3.5747
O 8.8321 -0.7585 1.2568
O 2.3776 -3.2118 5.7910
O 6.0407 -0.9362 7.0241
O 6.2294 -2.6106 3.4879
O 7.5876 -3.2118 1.2716
O 12.3596 -0.0572 2.2822
O 8.6876 -0.5924 7.0453
```